# NaLiHgPb
Computed PXRD pattern, Cu Kα (λ = 1.5418 Å). Input: a structure optimized by DFT (PBE).
Intensities are scaled so that the largest is 100.

Most intense lines, 2θ from 5° to 70°, by angle:
d 3.958, I = 52
d 3.472, I = 93
d 2.610, I = 100
d 2.455, I = 51
d 2.101, I = 18
d 2.086, I = 39
d 1.736, I = 18
d 1.590, I = 17
d 1.553, I = 19
d 1.445, I = 33

Atomic structure:
abc: 3.472 3.472 7.917
angles: 90.00 90.00 90.00
Space group P4mm (No. 99)
One atom of each set of equivalent atoms:
1 Na 0.000 0.000 0.000 [1 per cell]
2 Li 0.000 0.000 0.468 [1 per cell]
3 Hg 0.500 0.500 0.270 [1 per cell]
4 Pb 0.500 0.500 0.701 [1 per cell]